No. 1
Starting from a DFT-relaxed cell (PBE, Alexandria), the X-ray diffraction stick pattern of ThInAu3 was computed for Cu Ka.

Principal peaks in the range 10 to 80 degrees two-theta, by angle:
| h k l | d_spacing | Rel. int. |
| --- | --- | --- |
| 1 3 1 | 2.691 | 100.0 |
| 1 7 0 | 2.594 | 35.5 |
| 0 0 2 | 2.389 | 43.9 |
| 0 10 1 | 2.359 | 74.0 |
| 1 7 2 | 1.757 | 22.5 |
| 2 10 1 | 1.403 | 29.6 |

```
data_ThInAu3
_chemical_formula_sum 'Th4 In4 Au12'
_cell_length_a 3.492
_cell_length_b 27.128
_cell_length_c 4.777
_cell_angle_alpha 90.00
_cell_angle_beta 90.00
_cell_angle_gamma 90.00
_symmetry_space_group_name_H-M 'C m c m'
_symmetry_Int_Tables_number 63
_symmetry_space_group_name_Hall '-C 2c 2'
loop_
_atom_site_label
_atom_site_fract_x
_atom_site_fract_y
_atom_site_fract_z
_atom_site_occupancy
Th1 0.000 0.077 0.250 1
In1 0.000 0.213 0.750 1
Au1 0.000 0.317 0.750 1
Au2 0.000 0.374 0.250 1
Au3 0.000 0.475 0.250 1
```

No. 2
Starting from a DFT-relaxed cell (PBE, Alexandria), the X-ray diffraction stick pattern of Th5In4Au was computed for Cu Ka.

Principal peaks in the range 10 to 80 degrees two-theta, by angle:
| h k l | d_spacing | Rel. int. |
| --- | --- | --- |
| 1 0 5 | 2.775 | 100.0 |
| 1 1 0 | 2.473 | 37.7 |
| 0 0 10 | 2.279 | 13.2 |
| 2 0 0 | 1.749 | 13.4 |
| 1 1 10 | 1.676 | 20.6 |
| 2 1 5 | 1.480 | 30.1 |

```
data_Th5In4Au
_chemical_formula_sum 'Th5 In4 Au1'
_cell_length_a 3.498
_cell_length_b 3.498
_cell_length_c 22.794
_cell_angle_alpha 90.00
_cell_angle_beta 90.00
_cell_angle_gamma 90.00
_symmetry_space_group_name_H-M 'P 4/m m m'
_symmetry_Int_Tables_number 123
_symmetry_space_group_name_Hall '-P 4 2'
loop_
_atom_site_label
_atom_site_fract_x
_atom_site_fract_y
_atom_site_fract_z
_atom_site_occupancy
Th1 0.000 0.000 0.000 1
Th2 0.000 0.000 0.204 1
Th3 0.000 0.000 0.409 1
In1 0.500 0.500 0.102 1
In2 0.500 0.500 0.307 1
Au1 0.500 0.500 0.500 1
```